Starting from DFT lattice parameters and positions (GGA-PBE), the X-ray diffraction stick pattern of CuSe3Br was calculated for λ = 1.5418 Å (Cu Kα).
Lines closer than 0.1° are merged.

The 10 most intense peaks (2θ = 10–90°), by angle:
2θ (°)  d_spacing  I_rel  h k l
19.09  4.650  33  0 1 0
23.14  3.844  40  1 1 1
29.04  3.075  67  3 1 1
30.03  2.976  54  0 1 2
32.99  2.715  27  5 0 1
33.42  2.682  100  4 1 1
39.58  2.277  34  3 0 3
47.95  1.897  48  4 2 1
54.34  1.688  22  8 1 0
56.03  1.641  22  8 0 2

Atomic structure:
```
CuSe3Br
1.0
14.496 0.000 0.000
0.000 4.650 0.000
0.000 0.000 7.744
Cu Se Br
4 12 4
Cartesian
3.624 0.913 1.936
3.624 3.737 5.808
10.872 0.913 1.936
10.872 3.737 5.808
0.000 0.710 1.780
0.000 3.939 5.965
1.838 0.467 5.009
1.838 4.182 2.735
5.410 0.467 6.607
5.410 4.182 1.137
7.248 0.710 2.092
7.248 3.939 5.652
9.086 0.467 6.607
9.086 4.182 1.137
12.658 0.467 5.009
12.658 4.182 2.735
2.700 2.325 0.000
4.548 2.325 3.872
9.948 2.325 3.872
11.796 2.325 0.000
```